The following is a simulated powder diffraction line list of La2PrNd4. It was derived from a GGA-PBE-relaxed structure, using Cu Kα, 1.54184 Å.
Neutral-atom scattering factors, no anomalous dispersion.

Cell and atoms:
a b c (Å): 6.3062 6.7946 12.0717
angles (deg): 90.00 105.07 90.00
Element x y z (fractional)
1 La 0.1003 0.2500 0.9999
2 La 0.2015 0.2500 0.5578
3 La 0.7985 0.7500 0.4422
4 La 0.8997 0.7500 0.0001
5 Pr 0.3494 0.7500 0.8491
6 Pr 0.6506 0.2500 0.1509
7 Nd 0.1435 0.0004 0.2850
8 Nd 0.1435 0.4996 0.2850
9 Nd 0.3592 0.7500 0.5602
10 Nd 0.5001 0.2500 0.8453
11 Nd 0.4999 0.7500 0.1547
12 Nd 0.6408 0.2500 0.4398
13 Nd 0.8565 0.9996 0.7150
14 Nd 0.8565 0.5004 0.7150

Most intense lines, 15 to 90 degrees two-theta, in order of rising 2θ:
- 27.17°, rel. 27.4, (1 1 -3)
- 28.30°, rel. 32.4, (2 0 -1)
- 30.12°, rel. 30.2, (1 2 0)
- 30.35°, rel. 100.0, (1 0 3)
- 30.46°, rel. 32.5, (0 2 2)
- 32.07°, rel. 48.3, (1 2 1)
- 32.23°, rel. 53.5, (2 1 0)
- 35.09°, rel. 16.9, (0 2 3)
- 49.42°, rel. 20.8, (3 1 -4)
- 63.19°, rel. 27.4, (1 4 3)